(1)
Starting from a crystal structure in the Materials Project, relaxed with GGA-PBE, the powder XRD pattern of CeMg6W was calculated for CuKα.
Intensities are scaled so that the largest is 100.

Main lines, sorted by position (10 to 90 degrees two-theta):
2θ = 15.01°, d = 5.903 Å, intensity 100.0; 2θ = 17.15°, d = 5.171 Å, intensity 75.3; 2θ = 22.87°, d = 3.889 Å, intensity 68.1; 2θ = 34.50°, d = 2.600 Å, intensity 43.6; 2θ = 35.01°, d = 2.563 Å, intensity 69.0; 2θ = 38.77°, d = 2.322 Å, intensity 90.1

a = 5.169 Å, b = 5.791 Å, c = 11.806 Å
α = 90.00°, β = 90.00°, γ = 90.00°
Sites, in units of the cell vectors:
Ce1 0.000 0.000 0.000
Ce2 0.000 0.500 0.500
Mg1 0.000 0.250 0.248
Mg2 0.000 0.250 0.748
Mg3 0.000 0.750 0.248
Mg4 0.000 0.750 0.748
Mg5 0.500 0.000 0.159
Mg6 0.500 0.000 0.625
Mg7 0.500 0.240 0.404
Mg8 0.500 0.260 0.904
Mg9 0.500 0.500 0.125
Mg10 0.500 0.500 0.659
Mg11 0.500 0.740 0.904
Mg12 0.500 0.760 0.404
W1 0.000 0.000 0.491
W2 0.000 0.500 0.991

(2)
Starting from a crystal structure in the Materials Project, relaxed with GGA-PBE, the powder XRD pattern of Sm2Cr2Fe15C2 was calculated for CuKα.
Intensities are scaled so that the largest is 100.

Main lines, sorted by position (10 to 90 degrees two-theta):
2θ = 29.85°, d = 2.993 Å, intensity 43.5; 2θ = 36.01°, d = 2.494 Å, intensity 36.2; 2θ = 37.58°, d = 2.393 Å, intensity 27.4; 2θ = 41.82°, d = 2.160 Å, intensity 66.8; 2θ = 42.27°, d = 2.138 Å, intensity 100.0; 2θ = 43.62°, d = 2.075 Å, intensity 42.1

a = 6.485 Å, b = 6.485 Å, c = 6.499 Å
α = 96.50°, β = 96.50°, γ = 83.41°
Sites, in units of the cell vectors:
Sm1 0.149 0.149 0.335
Sm2 0.851 0.851 0.665
Cr1 0.414 0.414 0.087
Cr2 0.586 0.586 0.913
Fe1 0.000 0.500 0.000
Fe2 0.157 0.157 0.857
Fe3 0.157 0.645 0.339
Fe4 0.215 0.497 0.712
Fe5 0.218 0.782 0.000
Fe6 0.355 0.843 0.661
Fe7 0.497 0.215 0.712
Fe8 0.500 0.000 0.000
Fe9 0.500 0.500 0.500
Fe10 0.503 0.785 0.288
Fe11 0.645 0.157 0.339
Fe12 0.782 0.218 0.000
Fe13 0.785 0.503 0.288
Fe14 0.843 0.355 0.661
Fe15 0.843 0.843 0.143
C1 0.000 0.500 0.500
C2 0.500 0.000 0.500